Record 1
Diffraction record for Ac3Hg2Ru. The powder X-ray diffraction pattern is calculated, not measured: it uses DFT lattice parameters and positions (PBE) and Cu Kα (weighted mean of Kα1 and Kα2).
Lines closer than 0.1° are merged.

Principal peaks in the range 15 to 90 degrees two-theta, low angle first:
d (Å)  Position (°2θ)  intensity
3.253  27.42  1000
3.182  28.04  270
3.143  28.39  598
2.768  32.35  372
2.260  39.88  751
2.101  43.05  198
1.747  52.38  225
1.689  54.32  154
1.685  54.45  151
1.415  66.02  177

Structure:
a = 15.990 Å, b = 6.287 Å, c = 8.404 Å
α = 90.00°, β = 105.43°, γ = 90.00°
Space group C2/c (No. 15)
Asymmetric unit:
Ac1 0.000 0.000 0.250 [4 per cell]
Ac2 0.129 0.500 0.066 [8 per cell]
Hg1 0.190 0.000 0.093 [8 per cell]
Ru1 0.000 0.498 0.250 [4 per cell]



Record 2
Diffraction record for Ac4HgSb3. The powder X-ray diffraction pattern is calculated, not measured: it uses DFT lattice parameters and positions (PBE) and Cu Kα (weighted mean of Kα1 and Kα2).
Lines closer than 0.1° are merged.

Principal peaks in the range 15 to 90 degrees two-theta, low angle first:
d (Å)  Position (°2θ)  intensity
3.911  22.74  88
3.387  26.31  1000
2.395  37.56  796
2.042  44.35  50
1.955  46.44  293
1.693  54.16  140
1.515  61.19  390
1.383  67.77  288
1.197  80.15  92
1.129  86.13  196

Structure:
a = 6.774 Å, b = 6.774 Å, c = 6.774 Å
α = 90.00°, β = 90.00°, γ = 90.00°
Space group Pm-3m (No. 221)
Asymmetric unit:
Ac1 0.000 0.000 0.000 [1 per cell]
Ac2 0.000 0.500 0.500 [3 per cell]
Hg1 0.500 0.500 0.500 [1 per cell]
Sb1 0.000 0.000 0.500 [3 per cell]